Entry 1:
# RbOsSeO
Calculated powder diffraction line list, Cu Kα (weighted mean of Kα1 and Kα2). Input: a crystal structure in OQMD, relaxed with PBE.

Most intense lines, 10 to 90 degrees two-theta, in order of rising 2θ:
2θ/deg  intensity
12.78  95
16.96  93
18.86  62
19.91  100
26.11  77
28.36  47
28.99  70
32.00  41
35.10  35
38.38  50

Structure:
```
data_RbOsSeO
_chemical_formula_sum 'Rb4 Os4 Se4 O4'
_cell_length_a 5.2729
_cell_length_b 5.7277
_cell_length_c 14.0886
_cell_angle_alpha 97.32
_cell_angle_beta 97.15
_cell_angle_gamma 91.63
_symmetry_space_group_name_H-M 'P -1'
_symmetry_Int_Tables_number 2
_symmetry_space_group_name_Hall '-P 1'
loop_
_atom_site_label
_atom_site_fract_x
_atom_site_fract_y
_atom_site_fract_z
Rb1 0.2100 0.2580 0.0352
Rb2 0.2469 0.2691 0.5328
Os1 0.4284 0.7952 0.1872
Os2 0.4413 0.8246 0.6904
Se1 0.1515 0.9832 0.2870
Se2 0.3108 0.5207 0.7767
O1 0.2709 0.7885 0.5694
O2 0.3366 0.7790 0.0590
```

---

Entry 2:
# Li2BeW
Calculated powder diffraction line list, Cu Kα (weighted mean of Kα1 and Kα2). Input: a crystal structure in OQMD, relaxed with PBE.

Most intense lines, 10 to 90 degrees two-theta, in order of rising 2θ:
2θ/deg  intensity
26.85  100
31.11  51
44.57  49
52.80  48
55.34  14
64.86  8
71.52  19
73.68  18
82.11  17
88.31  16

Structure:
```
data_Li2BeW
_chemical_formula_sum 'Li8 Be4 W4'
_cell_length_a 5.7504
_cell_length_b 5.7504
_cell_length_c 5.7504
_cell_angle_alpha 90.00
_cell_angle_beta 90.00
_cell_angle_gamma 90.00
_symmetry_space_group_name_H-M 'F -4 3 m'
_symmetry_Int_Tables_number 216
_symmetry_space_group_name_Hall 'F -4 2 3'
loop_
_atom_site_label
_atom_site_fract_x
_atom_site_fract_y
_atom_site_fract_z
Li1 0.0000 0.0000 0.0000
Li2 0.2500 0.2500 0.2500
Be1 0.0000 0.0000 0.5000
W1 0.2500 0.2500 0.7500
```

---

Entry 3:
# HfP2H6O10
Calculated powder diffraction line list, Cu Kα (weighted mean of Kα1 and Kα2). Input: a crystal structure in OQMD, relaxed with PBE.

Most intense lines, 10 to 90 degrees two-theta, in order of rising 2θ:
2θ/deg  intensity
15.59  100
19.85  41
20.45  37
20.89  44
24.81  36
26.21  37
27.41  43
28.45  33
33.97  31
34.07  37

Structure:
```
data_HfP2H6O10
_chemical_formula_sum 'Hf2 P4 H12 O20'
_cell_length_a 5.2700
_cell_length_b 6.5080
_cell_length_c 11.8347
_cell_angle_alpha 90.00
_cell_angle_beta 99.73
_cell_angle_gamma 90.00
_symmetry_space_group_name_H-M 'P 1 21 1'
_symmetry_Int_Tables_number 4
_symmetry_space_group_name_Hall 'P 2yb'
loop_
_atom_site_label
_atom_site_fract_x
_atom_site_fract_y
_atom_site_fract_z
Hf1 0.1841 0.0000 0.3660
P1 0.2545 0.5002 0.4407
P2 0.3659 0.4061 0.8168
H1 0.0268 0.9093 0.0920
H2 0.0470 0.3437 0.0380
H3 0.1358 0.5956 0.1139
H4 0.1686 0.4349 0.2194
H5 0.3566 0.9156 0.0288
H6 0.4976 0.5799 0.1765
O1 0.0851 0.8215 0.0328
O2 0.0932 0.4946 0.7861
O3 0.0985 0.4952 0.5387
O4 0.1853 0.3150 0.3597
O5 0.1872 0.6892 0.3648
O6 0.2267 0.4689 0.1463
O7 0.3379 0.1669 0.8058
O8 0.4509 0.9915 0.2583
O9 0.4570 0.9987 0.5096
O10 0.4605 0.4704 0.9444
```

---

Entry 4:
# MgZnCd2Se4
Calculated powder diffraction line list, Cu Kα (weighted mean of Kα1 and Kα2). Input: a crystal structure in OQMD, relaxed with PBE.

Most intense lines, 10 to 90 degrees two-theta, in order of rising 2θ:
2θ/deg  intensity
16.46  9
25.65  100
42.42  25
42.55  50
50.23  30
50.47  15
61.54  8
67.99  12
77.69  15
77.98  8

Structure:
```
data_MgZnCd2Se4
_chemical_formula_sum 'Mg2 Zn2 Cd4 Se8'
_cell_length_a 6.0275
_cell_length_b 6.0275
_cell_length_c 11.9808
_cell_angle_alpha 90.00
_cell_angle_beta 90.00
_cell_angle_gamma 90.00
_symmetry_space_group_name_H-M 'I -4'
_symmetry_Int_Tables_number 82
_symmetry_space_group_name_Hall 'I -4'
loop_
_atom_site_label
_atom_site_fract_x
_atom_site_fract_y
_atom_site_fract_z
Mg1 0.0000 0.0000 0.0000
Zn1 0.0000 0.5000 0.2500
Cd1 0.0000 0.0000 0.5000
Cd2 0.0000 0.5000 0.7500
Se1 0.2296 0.2569 0.1280
```

---

Entry 5:
# TbErSi2BMo2
Calculated powder diffraction line list, Cu Kα (weighted mean of Kα1 and Kα2). Input: a crystal structure in OQMD, relaxed with PBE.

Most intense lines, 10 to 90 degrees two-theta, in order of rising 2θ:
2θ/deg  intensity
24.61  32
25.29  26
31.06  47
33.16  32
33.31  87
34.93  100
40.52  25
46.04  27
46.92  20
56.58  17

Structure:
```
data_TbErSi2BMo2
_chemical_formula_sum 'Tb2 Er2 Si4 B2 Mo4'
_cell_length_a 11.0513
_cell_length_b 3.9427
_cell_length_c 7.0702
_cell_angle_alpha 90.00
_cell_angle_beta 124.56
_cell_angle_gamma 90.00
_symmetry_space_group_name_H-M 'C 1 m 1'
_symmetry_Int_Tables_number 8
_symmetry_space_group_name_Hall 'C -2y'
loop_
_atom_site_label
_atom_site_fract_x
_atom_site_fract_y
_atom_site_fract_z
Tb1 0.0000 0.0000 0.0000
Er1 0.1519 0.0000 0.6047
Si1 0.2066 0.5000 0.9628
Si2 0.4459 0.0000 0.6410
B1 0.0774 0.5000 0.3062
Mo1 0.2924 0.5000 0.3900
Mo2 0.3608 0.0000 0.2159
```

---

Entry 6:
# CdH18C26S2N4O2
Calculated powder diffraction line list, Cu Kα (weighted mean of Kα1 and Kα2). Input: a crystal structure in OQMD, relaxed with PBE.

Most intense lines, 10 to 90 degrees two-theta, in order of rising 2θ:
2θ/deg  intensity
12.25  100
13.44  51
16.13  30
18.65  31
20.10  73
20.21  40
20.47  29
23.70  50
27.06  40
27.75  52

Structure:
```
data_CdH18C26S2N4O2
_chemical_formula_sum 'Cd1 H18 C26 S2 N4 O2'
_cell_length_a 5.8423
_cell_length_b 7.5318
_cell_length_c 13.6930
_cell_angle_alpha 104.90
_cell_angle_beta 93.82
_cell_angle_gamma 94.35
_symmetry_space_group_name_H-M 'P -1'
_symmetry_Int_Tables_number 2
_symmetry_space_group_name_Hall '-P 1'
loop_
_atom_site_label
_atom_site_fract_x
_atom_site_fract_y
_atom_site_fract_z
Cd1 0.0000 0.0000 0.0000
H1 0.0050 0.0333 0.3984
H2 0.0395 0.3540 0.4930
H3 0.0524 0.4881 0.8181
H4 0.1399 0.5112 0.3500
H5 0.1532 0.0193 0.7816
H6 0.3807 0.6936 0.6780
H7 0.3947 0.7844 0.3311
H8 0.4243 0.3533 0.8274
H9 0.4278 0.2536 0.1468
C1 0.0159 0.0556 0.2454
C2 0.0237 0.4298 0.6545
C3 0.1064 0.0841 0.3456
C4 0.1248 0.3535 0.5658
C5 0.1305 0.4286 0.7483
C6 0.3277 0.1752 0.3748
C7 0.3343 0.2754 0.5704
C8 0.3413 0.2058 0.2047
C9 0.3408 0.3523 0.7537
C10 0.4420 0.2758 0.6656
C11 0.4465 0.2356 0.3022
C12 0.4513 0.2029 0.4780
C13 0.4821 0.7906 0.0322
S1 0.2206 0.6908 0.0178
N1 0.1300 0.1156 0.1761
N2 0.3264 0.1373 0.9545
O1 0.3450 0.8315 0.5175
```